Structure and simulated powder diffraction line list of Mg2Si3Ir5 (the GGA-PBE geometry in Alexandria; Cu Ka).

Atomic structure:
```
20
Lattice="2.0048 -12.2186 0.0000 2.0048 12.2186 0.0000 0.0000 0.0000 6.0188" Properties=species:S:1:pos:R:3 pbc="T T T"
Mg 2.0048 11.8473 3.0094
Mg 2.0048 4.0933 2.7944
Mg 2.0048 -4.0933 5.8038
Mg 2.0048 -11.8473 0.0000
Si 2.0048 9.6093 4.3989
Si 2.0048 5.5187 5.7153
Si 2.0048 1.0624 4.3061
Si 2.0048 -1.0624 1.2967
Si 2.0048 -5.5187 2.7059
Si 2.0048 -9.6093 1.3896
Ir 2.0048 9.9146 0.8711
Ir 2.0048 7.2351 4.0792
Ir 2.0048 7.1911 1.3472
Ir 2.0048 3.1603 5.8038
Ir 2.0048 1.2934 1.9349
Ir 2.0048 -1.2934 4.9443
Ir 2.0048 -3.1603 2.7944
Ir 2.0048 -7.1911 4.3565
Ir 2.0048 -7.2351 1.0699
Ir 2.0048 -9.9146 3.8805
```

Main lines, low angle first (2θ = 15–90°):
2theta, Rel. int.
20.72, 42
28.91, 49
32.49, 42
34.05, 44
37.28, 43
37.55, 66
39.02, 100
45.23, 63
45.81, 41
50.69, 39